# 1
For Nd2Si7Pd12, a GGA-PBE-relaxed structure gives the simulated X-ray diffraction stick pattern in this record (Cu Ka).

Main lines, sorted by position (2θ from 10° to 80°):
2θ = 27.1°, rel. 14; 2θ = 35.7°, rel. 100; 2θ = 45.4°, rel. 11; 2θ = 46.6°, rel. 14; 2θ = 47.9°, rel. 18; 2θ = 69.1°, rel. 13

abc: 10.0450 10.0450 3.8968
angles: 90.00 90.00 120.00
Sites, in units of the cell vectors:
Nd  0.3333  0.6667  0.2536
Nd  0.6667  0.3333  0.7464
Si  0.0000  0.0000  0.0000
Si  0.1146  0.7105  0.7497
Si  0.2895  0.4041  0.7497
Si  0.4041  0.1146  0.2503
Si  0.5959  0.8854  0.7497
Si  0.7105  0.5959  0.2503
Si  0.8854  0.2895  0.2503
Pd  0.0601  0.4403  0.7488
Pd  0.1116  0.2568  0.2500
Pd  0.1453  0.8884  0.2500
Pd  0.2568  0.1453  0.7500
Pd  0.3802  0.9399  0.7488
Pd  0.4403  0.3802  0.2512
Pd  0.5597  0.6198  0.7488
Pd  0.6198  0.0601  0.2512
Pd  0.7432  0.8547  0.2500
Pd  0.8547  0.1116  0.7500
Pd  0.8884  0.7432  0.7500
Pd  0.9399  0.5597  0.2512

---

# 2
For Er8Bi5Pb, a GGA-PBE-relaxed structure gives the simulated X-ray diffraction stick pattern in this record (Cu Ka).

Main lines, sorted by position (2θ from 10° to 80°):
2θ = 30.3°, rel. 100; 2θ = 36.0°, rel. 69; 2θ = 43.4°, rel. 18; 2θ = 49.9°, rel. 18; 2θ = 61.3°, rel. 30; 2θ = 74.8°, rel. 18

abc: 8.0743 8.0743 8.0743
angles: 109.47 109.47 109.48
Sites, in units of the cell vectors:
Er  0.0239  0.6256  0.7470
Er  0.2281  0.4802  0.1046
Er  0.3744  0.1214  0.3983
Er  0.3756  0.1235  0.8954
Er  0.5198  0.6244  0.7479
Er  0.7231  0.9761  0.6017
Er  0.8765  0.7719  0.2521
Er  0.8786  0.2769  0.2530
Bi  0.0000  0.0000  0.0000
Bi  0.1236  0.2492  0.6264
Bi  0.5027  0.8764  0.1256
Bi  0.6228  0.4973  0.3736
Bi  0.7508  0.3772  0.8744
Pb  0.2500  0.7500  0.5000

---

# 3
For Pr8Nd3, a GGA-PBE-relaxed structure gives the simulated X-ray diffraction stick pattern in this record (Cu Ka).

Main lines, sorted by position (2θ from 10° to 80°):
2θ = 29.5°, rel. 100; 2θ = 34.0°, rel. 17; 2θ = 34.2°, rel. 17; 2θ = 34.3°, rel. 17; 2θ = 58.1°, rel. 15; 2θ = 58.4°, rel. 14

abc: 6.4432 6.4432 13.3655
angles: 103.80 103.80 47.84
Sites, in units of the cell vectors:
Pr  0.0454  0.0454  0.3182
Pr  0.1364  0.1364  0.9546
Pr  0.2275  0.2275  0.5910
Pr  0.3180  0.3180  0.2273
Pr  0.6820  0.6820  0.7727
Pr  0.7725  0.7725  0.4090
Pr  0.8636  0.8636  0.0454
Pr  0.9546  0.9546  0.6818
Nd  0.4094  0.4094  0.8640
Nd  0.5000  0.5000  0.5000
Nd  0.5906  0.5906  0.1360

---

# 4
For MnCoTcHOs, a GGA-PBE-relaxed structure gives the simulated X-ray diffraction stick pattern in this record (Cu Ka).

Main lines, sorted by position (2θ from 10° to 80°):
2θ = 13.1°, rel. 31; 2θ = 34.4°, rel. 29; 2θ = 41.6°, rel. 100; 2θ = 45.4°, rel. 43; 2θ = 66.1°, rel. 13; 2θ = 73.2°, rel. 14

abc: 2.8276 2.8276 6.7757
angles: 90.00 90.00 90.00
Sites, in units of the cell vectors:
Mn  0.0000  0.0000  0.0000
Co  0.5000  0.5000  0.2038
Tc  0.0000  0.0000  0.4718
H  0.5000  0.5000  0.4652
Os  0.5000  0.5000  0.7615

---

# 5
For CuS, a GGA-PBE-relaxed structure gives the simulated X-ray diffraction stick pattern in this record (Cu Ka).

Main lines, sorted by position (2θ from 10° to 80°):
2θ = 31.7°, rel. 25; 2θ = 36.8°, rel. 100; 2θ = 53.0°, rel. 64; 2θ = 63.1°, rel. 10; 2θ = 66.3°, rel. 21; 2θ = 78.3°, rel. 9

abc: 4.8850 4.8850 4.8850
angles: 90.00 90.00 90.00
Sites, in units of the cell vectors:
Cu  0.0000  0.0000  0.0000
Cu  0.0000  0.5000  0.5000
Cu  0.5000  0.0000  0.5000
Cu  0.5000  0.5000  0.0000
S  0.0000  0.0000  0.5000
S  0.0000  0.5000  0.0000
S  0.5000  0.0000  0.0000
S  0.5000  0.5000  0.5000

---

# 6
For Sr3TlO, a GGA-PBE-relaxed structure gives the simulated X-ray diffraction stick pattern in this record (Cu Ka).

Main lines, sorted by position (2θ from 10° to 80°):
2θ = 12.3°, rel. 49; 2θ = 26.9°, rel. 68; 2θ = 27.6°, rel. 45; 2θ = 28.3°, rel. 100; 2θ = 29.4°, rel. 52; 2θ = 33.1°, rel. 28

abc: 7.2307 7.3992 7.7404
angles: 93.74 115.62 99.36
Sites, in units of the cell vectors:
Sr  0.0192  0.2340  0.3390
Sr  0.1683  0.3869  0.9348
Sr  0.4116  0.8738  0.2259
Sr  0.5884  0.1262  0.7741
Sr  0.8317  0.6131  0.0652
Sr  0.9808  0.7660  0.6610
Tl  0.4084  0.6278  0.6185
Tl  0.5916  0.3722  0.3815
O  0.1077  0.6952  0.9751
O  0.8923  0.3048  0.0249

---

# 7
For PaTl4Te3O12, a GGA-PBE-relaxed structure gives the simulated X-ray diffraction stick pattern in this record (Cu Ka).

Main lines, sorted by position (2θ from 10° to 80°):
2θ = 29.8°, rel. 100; 2θ = 42.7°, rel. 27; 2θ = 52.9°, rel. 42; 2θ = 61.9°, rel. 17; 2θ = 70.2°, rel. 18; 2θ = 78.1°, rel. 6

abc: 7.3409 7.3409 7.3409
angles: 109.47 109.47 109.47
Sites, in units of the cell vectors:
Pa  0.0000  0.0000  0.0000
Tl  0.0000  0.0000  0.5000
Tl  0.0000  0.5000  0.0000
Tl  0.5000  0.0000  0.0000
Tl  0.5000  0.5000  0.5000
Te  0.0000  0.5000  0.5000
Te  0.5000  0.0000  0.5000
Te  0.5000  0.5000  0.0000
O  0.0000  0.2572  0.2572
O  0.0000  0.7428  0.7428
O  0.2500  0.5000  0.7500
O  0.2500  0.7500  0.5000
O  0.2572  0.0000  0.2572
O  0.2572  0.2572  0.0000
O  0.5000  0.2500  0.7500
O  0.5000  0.7500  0.2500
O  0.7428  0.0000  0.7428
O  0.7428  0.7428  0.0000
O  0.7500  0.2500  0.5000
O  0.7500  0.5000  0.2500

---

# 8
For Li2Sb2Pd, a GGA-PBE-relaxed structure gives the simulated X-ray diffraction stick pattern in this record (Cu Ka).

Main lines, sorted by position (2θ from 10° to 80°):
2θ = 21.9°, rel. 100; 2θ = 24.5°, rel. 50; 2θ = 27.4°, rel. 49; 2θ = 36.8°, rel. 60; 2θ = 39.3°, rel. 64; 2θ = 40.3°, rel. 58

abc: 5.7942 5.7942 9.9608
angles: 113.74 113.74 45.49
Sites, in units of the cell vectors:
Li  0.0350  0.0350  0.3429
Li  0.1612  0.1612  0.0801
Li  0.8388  0.8388  0.9199
Li  0.9650  0.9650  0.6571
Sb  0.3539  0.3539  0.3976
Sb  0.4677  0.4677  0.1288
Sb  0.5323  0.5323  0.8712
Sb  0.6461  0.6461  0.6024
Pd  0.2825  0.2825  0.6274
Pd  0.7175  0.7175  0.3726